Na3In3Sn2: computed X-ray diffraction stick pattern (Cu Ka), based on a DFT-relaxed cell (PBE, Alexandria).

Structural model:
abc: 19.110 4.847 4.807
angles: 90.00 104.50 90.00
Space group C2/m (No. 12)
Inequivalent atoms, fractional coordinates:
Na (0.000, 0.000, 0.000) (multiplicity 2)
Na (0.126, 0.000, 0.627) (multiplicity 4)
In (0.000, 0.500, 0.500) (multiplicity 2)
In (0.131, 0.500, 0.131) (multiplicity 4)
Sn (0.249, 0.000, 0.250) (multiplicity 4)

Peak list (8 most intense, 10 to 80 degrees two-theta, sorted by position)
(hkl)  Position (°2θ)  d_spacing  I/Imax
1 1 0  18.93  4.689  20.1
4 0 -1  23.46  3.792  15.5
3 1 1  32.60  2.746  100.0
0 2 0  37.09  2.424  17.8
2 0 -2  37.41  2.404  17.3
8 0 0  38.94  2.313  15.0
3 3 1  64.04  1.454  13.9
1 1 3  64.47  1.445  13.6


Nd5Ge4: computed X-ray diffraction stick pattern (Cu Ka), based on a DFT-relaxed cell (PBE, Alexandria).

Structural model:
abc: 7.942 15.234 8.042
angles: 90.00 90.00 90.00
Space group Pnma (No. 62)
Inequivalent atoms, fractional coordinates:
Nd (0.025, 0.103, 0.179) (multiplicity 8)
Nd (0.120, 0.615, 0.340) (multiplicity 8)
Nd (0.214, 0.250, 0.503) (multiplicity 4)
Ge (0.088, 0.250, 0.890) (multiplicity 4)
Ge (0.175, 0.750, 0.633) (multiplicity 4)
Ge (0.222, 0.045, 0.532) (multiplicity 8)

Peak list (8 most intense, 10 to 80 degrees two-theta, sorted by position)
(hkl)  Position (°2θ)  d_spacing  I/Imax
1 3 2  30.51  2.930  100.0
2 3 1  30.67  2.915  38.1
2 0 2  31.67  2.825  37.9
0 4 2  32.38  2.765  45.2
2 4 0  32.58  2.749  38.6
2 4 1  34.48  2.601  51.6
0 6 0  35.35  2.539  33.7
1 1 3  35.84  2.505  47.9


RbY5Se8: computed X-ray diffraction stick pattern (Cu Ka), based on a DFT-relaxed cell (PBE, Alexandria).

Structural model:
abc: 21.319 4.154 10.096
angles: 90.00 104.40 90.00
Space group Cm (No. 8)
Inequivalent atoms, fractional coordinates:
Rb (0.000, 0.000, 0.000) (multiplicity 2)
Y (0.000, 0.500, 0.501) (multiplicity 2)
Y (0.155, 0.000, 0.452) (multiplicity 2)
Y (0.203, 0.000, 0.842) (multiplicity 2)
Y (0.296, 0.500, 0.159) (multiplicity 2)
Y (0.345, 0.500, 0.550) (multiplicity 2)
Se (0.078, 0.000, 0.650) (multiplicity 2)
Se (0.080, 0.500, 0.306) (multiplicity 2)
Se (0.168, 0.500, 0.996) (multiplicity 2)
Se (0.229, 0.500, 0.646) (multiplicity 2)
Se (0.270, 0.000, 0.355) (multiplicity 2)
Se (0.332, 0.000, 0.006) (multiplicity 2)
Se (0.420, 0.000, 0.695) (multiplicity 2)
Se (0.421, 0.500, 0.352) (multiplicity 2)

Peak list (8 most intense, 10 to 80 degrees two-theta, sorted by position)
(hkl)  Position (°2θ)  d_spacing  I/Imax
3 1 1  27.76  3.213  100.0
3 1 -2  29.09  3.070  35.3
3 1 2  32.99  2.715  15.7
3 1 -3  34.86  2.573  33.1
6 0 2  35.43  2.533  15.2
3 1 3  39.84  2.263  20.0
0 2 0  43.57  2.077  30.9
9 1 -1  44.01  2.058  48.0


La5Sm5Tm2: computed X-ray diffraction stick pattern (Cu Ka), based on a DFT-relaxed cell (PBE, Alexandria).

Structural model:
abc: 15.440 5.186 11.538
angles: 90.00 116.42 90.00
Space group C2/m (No. 12)
Inequivalent atoms, fractional coordinates:
La (0.000, 0.000, 0.000) (multiplicity 2)
La (0.164, 0.000, 0.499) (multiplicity 4)
La (0.248, 0.500, 0.749) (multiplicity 4)
Sm (0.000, 0.500, 0.500) (multiplicity 2)
Sm (0.081, 0.500, 0.249) (multiplicity 4)
Sm (0.168, 0.500, 0.000) (multiplicity 4)
Tm (0.083, 0.000, 0.753) (multiplicity 4)

Peak list (8 most intense, 10 to 80 degrees two-theta, sorted by position)
(hkl)  Position (°2θ)  d_spacing  I/Imax
3 1 1  29.96  2.983  100.0
0 2 0  34.59  2.593  17.1
0 0 4  34.73  2.583  16.9
6 0 -2  34.86  2.573  16.7
6 2 -2  49.95  1.826  18.1
3 3 1  59.14  1.562  14.6
3 1 5  59.32  1.558  14.4
9 1 -1  59.51  1.553  14.2


V8N: computed X-ray diffraction stick pattern (Cu Ka), based on a DFT-relaxed cell (PBE, Alexandria).

Structural model:
abc: 8.739 8.739 2.974
angles: 90.00 90.00 90.00
Space group P4_2/mnm (No. 136)
Inequivalent atoms, fractional coordinates:
V (0.112, 0.112, 0.000) (multiplicity 4)
V (0.114, 0.373, 0.500) (multiplicity 8)
V (0.157, 0.843, 0.500) (multiplicity 4)
N (0.000, 0.000, 0.500) (multiplicity 2)

Peak list (8 most intense, 10 to 80 degrees two-theta, sorted by position)
(hkl)  Position (°2θ)  d_spacing  I/Imax
4 0 0  41.32  2.185  44.5
2 2 1  42.17  2.143  100.0
4 1 0  42.66  2.120  7.0
3 2 1  48.45  1.879  4.4
4 4 0  59.87  1.545  12.9
0 0 2  62.45  1.487  8.1
6 2 1  75.93  1.253  19.8
4 0 2  77.67  1.229  11.7


Fe2CoS4: computed X-ray diffraction stick pattern (Cu Ka), based on a DFT-relaxed cell (PBE, Alexandria).

Structural model:
abc: 4.606 4.606 11.018
angles: 90.00 90.00 90.00
Space group I4/mmm (No. 139)
Inequivalent atoms, fractional coordinates:
Fe (0.000, 0.000, 0.108) (multiplicity 4)
Co (0.000, 0.000, 0.500) (multiplicity 2)
S (0.000, 0.000, 0.298) (multiplicity 4)
S (0.000, 0.500, 0.000) (multiplicity 4)

Peak list (8 most intense, 10 to 80 degrees two-theta, sorted by position)
(hkl)  Position (°2θ)  d_spacing  I/Imax
0 0 2  16.09  5.509  50.6
1 1 0  27.38  3.257  91.0
1 0 3  31.15  2.872  15.8
2 0 0  39.11  2.303  100.0
2 0 2  42.55  2.125  15.6
1 0 5  45.64  1.988  75.0
2 2 0  56.51  1.629  30.9
2 1 5  61.64  1.505  56.5


Rb3Tl4Bi2: computed X-ray diffraction stick pattern (Cu Ka), based on a DFT-relaxed cell (PBE, Alexandria).

Structural model:
abc: 16.129 4.846 10.530
angles: 90.00 113.31 90.00
Space group C2/m (No. 12)
Inequivalent atoms, fractional coordinates:
Rb (0.000, 0.000, 0.000) (multiplicity 2)
Rb (0.106, 0.500, 0.378) (multiplicity 4)
Tl (0.113, 0.000, 0.716) (multiplicity 4)
Tl (0.164, 0.500, 0.989) (multiplicity 4)
Bi (0.246, 0.000, 0.241) (multiplicity 4)

Peak list (8 most intense, 10 to 80 degrees two-theta, sorted by position)
(hkl)  Position (°2θ)  d_spacing  I/Imax
2 0 -1  11.83  7.480  44.5
2 0 0  11.95  7.406  38.6
3 1 -2  27.23  3.275  66.8
1 1 2  28.36  3.147  33.0
3 1 1  29.75  3.003  100.0
3 1 -3  32.29  2.772  43.0
0 2 0  37.09  2.424  54.0
6 2 -2  50.96  1.792  24.6


Sc5As2Se: computed X-ray diffraction stick pattern (Cu Ka), based on a DFT-relaxed cell (PBE, Alexandria).

Structural model:
abc: 10.733 8.159 7.228
angles: 90.00 90.00 90.00
Space group Pnma (No. 62)
Inequivalent atoms, fractional coordinates:
Sc (0.002, 0.250, 0.027) (multiplicity 4)
Sc (0.070, 0.053, 0.692) (multiplicity 8)
Sc (0.207, 0.750, 0.351) (multiplicity 4)
Sc (0.222, 0.250, 0.340) (multiplicity 4)
As (0.173, 0.508, 0.068) (multiplicity 8)
Se (0.017, 0.750, 0.584) (multiplicity 4)

Peak list (8 most intense, 10 to 80 degrees two-theta, sorted by position)
(hkl)  Position (°2θ)  d_spacing  I/Imax
1 2 1  26.43  3.373  28.2
3 0 1  27.82  3.206  38.6
1 2 2  34.18  2.623  91.2
3 0 2  35.28  2.544  37.4
4 0 1  35.65  2.518  100.0
2 2 2  37.22  2.416  75.2
4 2 0  40.23  2.242  43.3
0 4 0  44.41  2.040  41.7